Record 1
# BiSbO3
Theoretical powder X-ray diffraction pattern, Cu Kα X-rays. Input: a DFT-relaxed cell (PBE, the Materials Project).

Main lines, sorted by position (2θ = 10–90°):
| d (Å) | Position (°2θ) | I (rel.) |
| --- | --- | --- |
| 5.159 | 17.19 | 14 |
| 3.200 | 27.88 | 100 |
| 2.975 | 30.04 | 69 |
| 2.179 | 41.44 | 37 |
| 1.894 | 48.03 | 14 |
| 1.848 | 49.32 | 25 |
| 1.801 | 50.69 | 41 |
| 1.680 | 54.62 | 14 |
| 1.600 | 57.60 | 14 |
| 1.409 | 66.33 | 16 |

Cell and atoms:
```
data_BiSbO3
_symmetry_space_group_name_H-M 'P 1'
_symmetry_Int_Tables_number 1
_cell_length_a 5.9790
_cell_length_b 5.9790
_cell_length_c 5.9790
_cell_angle_alpha 64.72
_cell_angle_beta 64.72
_cell_angle_gamma 64.72
loop_
_symmetry_equiv_pos_as_xyz
'x,y,z'
loop_
_atom_site_label
_atom_site_type_symbol
_atom_site_fract_x
_atom_site_fract_y
_atom_site_fract_z
Bi1 Bi 0.1332 0.1332 0.1332
Bi2 Bi 0.8668 0.8668 0.8668
Sb1 Sb 0.3523 0.3523 0.3523
Sb2 Sb 0.6477 0.6477 0.6477
O1 O 0.0228 0.2311 0.5104
O2 O 0.2311 0.5104 0.0228
O3 O 0.4896 0.9772 0.7689
O4 O 0.5104 0.0228 0.2311
O5 O 0.7689 0.4896 0.9772
O6 O 0.9772 0.7689 0.4896
```

Record 2
# CeSe2
Theoretical powder X-ray diffraction pattern, Cu Kα X-rays. Input: a DFT-relaxed cell (PBE, the Materials Project).

Main lines, sorted by position (2θ = 10–90°):
| d (Å) | Position (°2θ) | I (rel.) |
| --- | --- | --- |
| 7.423 | 11.92 | 97 |
| 6.262 | 14.14 | 100 |
| 6.172 | 14.35 | 60 |
| 5.922 | 14.96 | 41 |
| 4.285 | 20.73 | 31 |
| 4.152 | 21.40 | 17 |
| 3.202 | 27.86 | 21 |
| 2.728 | 32.83 | 20 |
| 2.438 | 36.88 | 18 |
| 1.946 | 46.69 | 15 |

Cell and atoms:
```
data_CeSe2
_symmetry_space_group_name_H-M 'P 1'
_symmetry_Int_Tables_number 1
_cell_length_a 18.9913
_cell_length_b 18.9913
_cell_length_c 8.5716
_cell_angle_alpha 90.00
_cell_angle_beta 90.00
_cell_angle_gamma 102.83
loop_
_symmetry_equiv_pos_as_xyz
'x,y,z'
loop_
_atom_site_label
_atom_site_type_symbol
_atom_site_fract_x
_atom_site_fract_y
_atom_site_fract_z
Ce1 Ce 0.0826 0.5047 0.1028
Ce2 Ce 0.1236 0.8764 0.5000
Ce3 Ce 0.1559 0.2527 0.0217
Ce4 Ce 0.2262 0.7738 0.0014
Ce5 Ce 0.2527 0.1559 0.5217
Ce6 Ce 0.4953 0.9174 0.1028
Ce7 Ce 0.5047 0.0826 0.6028
Ce8 Ce 0.7473 0.8441 0.0217
Ce9 Ce 0.7738 0.2262 0.5014
Ce10 Ce 0.8441 0.7473 0.5217
Ce11 Ce 0.8764 0.1236 0.0000
Ce12 Ce 0.9174 0.4953 0.6028
Se1 Se 0.0214 0.1666 0.0516
Se2 Se 0.0287 0.5121 0.3957
Se3 Se 0.1498 0.3919 0.0849
Se4 Se 0.1546 0.8454 0.2006
Se5 Se 0.1666 0.0214 0.5516
Se6 Se 0.1832 0.6281 0.0419
Se7 Se 0.1941 0.8059 0.7035
Se8 Se 0.2085 0.2477 0.7264
Se9 Se 0.2477 0.2085 0.2264
Se10 Se 0.3719 0.8168 0.0419
Se11 Se 0.3919 0.1498 0.5849
Se12 Se 0.4879 0.9713 0.3957
Se13 Se 0.5121 0.0287 0.8957
Se14 Se 0.6081 0.8502 0.0849
Se15 Se 0.6281 0.1832 0.5419
Se16 Se 0.7523 0.7915 0.7264
Se17 Se 0.7915 0.7523 0.2264
Se18 Se 0.8059 0.1941 0.2035
Se19 Se 0.8168 0.3719 0.5419
Se20 Se 0.8334 0.9786 0.0516
Se21 Se 0.8454 0.1546 0.7006
Se22 Se 0.8502 0.6081 0.5849
Se23 Se 0.9713 0.4879 0.8957
Se24 Se 0.9786 0.8334 0.5516
```

Record 3
# SrBrO5
Theoretical powder X-ray diffraction pattern, Cu Kα X-rays. Input: a DFT-relaxed cell (PBE, the Materials Project).

Main lines, sorted by position (2θ = 10–90°):
| d (Å) | Position (°2θ) | I (rel.) |
| --- | --- | --- |
| 6.621 | 13.37 | 62 |
| 3.289 | 27.11 | 89 |
| 3.264 | 27.32 | 100 |
| 3.153 | 28.31 | 65 |
| 2.975 | 30.04 | 90 |
| 2.821 | 31.72 | 61 |
| 2.518 | 35.65 | 48 |
| 2.483 | 36.17 | 37 |
| 2.337 | 38.52 | 52 |
| 1.842 | 49.48 | 36 |

Cell and atoms:
```
data_SrBrO5
_symmetry_space_group_name_H-M 'P 1'
_symmetry_Int_Tables_number 1
_cell_length_a 4.6881
_cell_length_b 7.6624
_cell_length_c 7.8166
_cell_angle_alpha 117.40
_cell_angle_beta 103.82
_cell_angle_gamma 93.79
loop_
_symmetry_equiv_pos_as_xyz
'x,y,z'
loop_
_atom_site_label
_atom_site_type_symbol
_atom_site_fract_x
_atom_site_fract_y
_atom_site_fract_z
Sr1 Sr 0.1803 0.0871 0.3507
Sr2 Sr 0.8197 0.9129 0.6493
Br1 Br 0.1858 0.5526 0.3168
Br2 Br 0.8142 0.4474 0.6832
O1 O 0.2103 0.1764 0.0485
O2 O 0.2531 0.8263 0.5064
O3 O 0.2830 0.2082 0.7683
O4 O 0.4498 0.7760 0.1276
O5 O 0.4994 0.2010 0.0816
O6 O 0.5006 0.7990 0.9184
O7 O 0.5502 0.2240 0.8724
O8 O 0.7170 0.7918 0.2317
O9 O 0.7469 0.1737 0.4936
O10 O 0.7897 0.8236 0.9515
```

Record 4
# KSnSO4F
Theoretical powder X-ray diffraction pattern, Cu Kα X-rays. Input: a DFT-relaxed cell (PBE, the Materials Project).

Main lines, sorted by position (2θ = 10–90°):
| d (Å) | Position (°2θ) | I (rel.) |
| --- | --- | --- |
| 6.221 | 14.24 | 19 |
| 5.225 | 16.97 | 46 |
| 3.826 | 23.25 | 22 |
| 3.641 | 24.45 | 24 |
| 3.447 | 25.85 | 21 |
| 3.410 | 26.13 | 100 |
| 3.300 | 27.02 | 23 |
| 2.915 | 30.67 | 21 |
| 2.823 | 31.70 | 15 |
| 2.582 | 34.74 | 15 |

Cell and atoms:
```
data_KSnSO4F
_symmetry_space_group_name_H-M 'P 1'
_symmetry_Int_Tables_number 1
_cell_length_a 6.2468
_cell_length_b 7.2100
_cell_length_c 7.3719
_cell_angle_alpha 106.93
_cell_angle_beta 102.58
_cell_angle_gamma 109.87
loop_
_symmetry_equiv_pos_as_xyz
'x,y,z'
loop_
_atom_site_label
_atom_site_type_symbol
_atom_site_fract_x
_atom_site_fract_y
_atom_site_fract_z
K1 K 0.1911 0.3389 0.1300
K2 K 0.8089 0.6611 0.8700
Sn1 Sn 0.3634 0.9422 0.7079
Sn2 Sn 0.6366 0.0578 0.2921
S1 S 0.1701 0.3619 0.6601
S2 S 0.8299 0.6381 0.3399
O1 O 0.0166 0.6406 0.2471
O2 O 0.0483 0.2112 0.4373
O3 O 0.3189 0.5808 0.6736
O4 O 0.3419 0.2893 0.7616
O5 O 0.6581 0.7107 0.2384
O6 O 0.6811 0.4192 0.3264
O7 O 0.9517 0.7888 0.5627
O8 O 0.9834 0.3594 0.7529
F1 F 0.2638 0.9758 0.9668
F2 F 0.7362 0.0242 0.0332
```

Question: Number 3 is which compound?
Answer: SrBrO5